Entry 1:
Diffraction record for Ac4Tl12Cd. The X-ray diffraction stick pattern is calculated, not measured: it uses a cell relaxed with GGA-PBE and a wavelength of 1.5418 Å.
Neutral-atom scattering factors, no anomalous dispersion.

Peak list (12 most intense, 10° ≤ 2θ ≤ 90°, by intensity)
30.42 deg, I 100
35.27 deg, I 58
50.74 deg, I 36
60.32 deg, I 33
85.30 deg, I 12
63.31 deg, I 10
82.65 deg, I 10
41.62 deg, I 9
32.93 deg, I 8
67.65 deg, I 8
37.49 deg, I 8
61.83 deg, I 6

```
data_Ac4Tl12Cd
_chemical_formula_sum 'Ac4 Tl12 Cd1'
_symmetry_space_group_name_H-M 'P 1'
_symmetry_Int_Tables_number 1
_symmetry_space_group_name_Hall 'P 1'
_cell_length_a 8.814
_cell_length_b 8.814
_cell_length_c 8.814
_cell_angle_alpha 109.47
_cell_angle_beta 109.47
_cell_angle_gamma 109.47
loop_
_atom_site_label
_atom_site_fract_x
_atom_site_fract_y
_atom_site_fract_z
Ac1 0.000 0.000 0.500
Ac2 0.000 0.500 0.000
Ac3 0.500 0.000 0.000
Ac4 0.500 0.500 0.500
Tl1 0.000 0.296 0.296
Tl2 0.000 0.704 0.704
Tl3 0.250 0.500 0.750
Tl4 0.250 0.750 0.500
Tl5 0.296 0.000 0.296
Tl6 0.296 0.296 0.000
Tl7 0.500 0.250 0.750
Tl8 0.500 0.750 0.250
Tl9 0.704 0.000 0.704
Tl10 0.704 0.704 0.000
Tl11 0.750 0.250 0.500
Tl12 0.750 0.500 0.250
Cd1 0.000 0.000 0.000
```

---

Entry 2:
Diffraction record for Pr3HfO6. The X-ray diffraction stick pattern is calculated, not measured: it uses a cell relaxed with GGA-PBE and a wavelength of 1.5418 Å.
Neutral-atom scattering factors, no anomalous dispersion.

Peak list (12 most intense, 10° ≤ 2θ ≤ 90°, by intensity)
28.70 deg, I 100
31.13 deg, I 30
44.61 deg, I 16
53.86 deg, I 14
29.53 deg, I 12
49.26 deg, I 11
48.70 deg, I 10
32.79 deg, I 9
59.41 deg, I 9
25.03 deg, I 7
55.59 deg, I 7
42.87 deg, I 7

```
data_Pr3HfO6
_chemical_formula_sum 'Pr6 Hf2 O12'
_symmetry_space_group_name_H-M 'P 1'
_symmetry_Int_Tables_number 1
_symmetry_space_group_name_Hall 'P 1'
_cell_length_a 7.504
_cell_length_b 7.504
_cell_length_c 5.753
_cell_angle_alpha 90.00
_cell_angle_beta 90.00
_cell_angle_gamma 99.75
loop_
_atom_site_label
_atom_site_fract_x
_atom_site_fract_y
_atom_site_fract_z
Pr1 0.104 0.896 0.500
Pr2 0.194 0.406 0.549
Pr3 0.406 0.194 0.049
Pr4 0.594 0.806 0.549
Pr5 0.806 0.594 0.049
Pr6 0.896 0.104 0.000
Hf1 0.342 0.658 0.063
Hf2 0.658 0.342 0.563
O1 0.106 0.601 0.230
O2 0.139 0.166 0.276
O3 0.166 0.139 0.776
O4 0.281 0.719 0.735
O5 0.399 0.894 0.230
O6 0.484 0.516 0.315
O7 0.516 0.484 0.815
O8 0.601 0.106 0.730
O9 0.719 0.281 0.235
O10 0.834 0.861 0.276
O11 0.861 0.834 0.776
O12 0.894 0.399 0.730
```

---

Entry 3:
Diffraction record for Ac2SiHg3. The X-ray diffraction stick pattern is calculated, not measured: it uses a cell relaxed with GGA-PBE and a wavelength of 1.5418 Å.
Neutral-atom scattering factors, no anomalous dispersion.

Peak list (12 most intense, 10° ≤ 2θ ≤ 90°, by intensity)
30.20 deg, I 100
36.94 deg, I 59
58.41 deg, I 31
48.46 deg, I 18
62.41 deg, I 17
43.56 deg, I 13
21.12 deg, I 10
48.39 deg, I 9
71.73 deg, I 9
62.51 deg, I 8
83.02 deg, I 8
86.55 deg, I 7

```
data_Ac2SiHg3
_chemical_formula_sum 'Ac4 Si2 Hg6'
_symmetry_space_group_name_H-M 'P 1'
_symmetry_Int_Tables_number 1
_symmetry_space_group_name_Hall 'P 1'
_cell_length_a 9.738
_cell_length_b 9.407
_cell_length_c 6.395
_cell_angle_alpha 73.32
_cell_angle_beta 67.71
_cell_angle_gamma 38.98
loop_
_atom_site_label
_atom_site_fract_x
_atom_site_fract_y
_atom_site_fract_z
Ac1 0.241 0.759 0.759
Ac2 0.250 0.250 0.250
Ac3 0.750 0.750 0.750
Ac4 0.759 0.241 0.241
Si1 0.333 0.333 0.667
Si2 0.667 0.667 0.333
Hg1 0.172 0.172 0.828
Hg2 0.175 0.653 0.347
Hg3 0.347 0.825 0.175
Hg4 0.653 0.175 0.825
Hg5 0.825 0.347 0.653
Hg6 0.828 0.828 0.172
```

---

Entry 4:
Diffraction record for Ca5Pb3. The X-ray diffraction stick pattern is calculated, not measured: it uses a cell relaxed with GGA-PBE and a wavelength of 1.5418 Å.
Neutral-atom scattering factors, no anomalous dispersion.

Peak list (12 most intense, 10° ≤ 2θ ≤ 90°, by intensity)
22.77 deg, I 100
31.64 deg, I 64
32.78 deg, I 53
32.06 deg, I 48
41.83 deg, I 45
18.75 deg, I 37
25.76 deg, I 32
10.79 deg, I 27
61.33 deg, I 23
42.15 deg, I 21
40.28 deg, I 17
33.92 deg, I 16

```
data_Ca5Pb3
_chemical_formula_sum 'Ca30 Pb18'
_symmetry_space_group_name_H-M 'P 1'
_symmetry_Int_Tables_number 1
_symmetry_space_group_name_Hall 'P 1'
_cell_length_a 16.394
_cell_length_b 16.394
_cell_length_c 6.916
_cell_angle_alpha 90.00
_cell_angle_beta 90.00
_cell_angle_gamma 120.00
loop_
_atom_site_label
_atom_site_fract_x
_atom_site_fract_y
_atom_site_fract_z
Ca1 0.009 0.341 0.000
Ca2 0.009 0.668 0.000
Ca3 0.089 0.179 0.213
Ca4 0.089 0.911 0.213
Ca5 0.151 0.575 0.278
Ca6 0.179 0.089 0.713
Ca7 0.246 0.492 0.745
Ca8 0.246 0.754 0.745
Ca9 0.332 0.341 0.000
Ca10 0.332 0.991 0.000
Ca11 0.341 0.009 0.500
Ca12 0.341 0.332 0.500
Ca13 0.425 0.575 0.278
Ca14 0.425 0.849 0.278
Ca15 0.492 0.246 0.245
Ca16 0.508 0.754 0.745
Ca17 0.575 0.151 0.778
Ca18 0.575 0.425 0.778
Ca19 0.659 0.668 0.000
Ca20 0.659 0.991 0.000
Ca21 0.668 0.009 0.500
Ca22 0.668 0.659 0.500
Ca23 0.754 0.246 0.245
Ca24 0.754 0.508 0.245
Ca25 0.821 0.911 0.213
Ca26 0.849 0.425 0.778
Ca27 0.911 0.089 0.713
Ca28 0.911 0.821 0.713
Ca29 0.991 0.332 0.500
Ca30 0.991 0.659 0.500
Pb1 0.082 0.541 0.766
Pb2 0.130 0.260 0.690
Pb3 0.130 0.870 0.690
Pb4 0.202 0.405 0.286
Pb5 0.202 0.798 0.286
Pb6 0.260 0.130 0.190
Pb7 0.405 0.202 0.786
Pb8 0.459 0.541 0.766
Pb9 0.459 0.918 0.766
Pb10 0.541 0.082 0.266
Pb11 0.541 0.459 0.266
Pb12 0.595 0.798 0.286
Pb13 0.740 0.870 0.690
Pb14 0.798 0.202 0.786
Pb15 0.798 0.595 0.786
Pb16 0.870 0.130 0.190
Pb17 0.870 0.740 0.190
Pb18 0.918 0.459 0.266
```

---

Entry 5:
Diffraction record for NaZn2TcN4. The X-ray diffraction stick pattern is calculated, not measured: it uses a cell relaxed with GGA-PBE and a wavelength of 1.5418 Å.
Neutral-atom scattering factors, no anomalous dispersion.

Peak list (12 most intense, 10° ≤ 2θ ≤ 90°, by intensity)
34.39 deg, I 100
32.95 deg, I 46
20.69 deg, I 34
35.91 deg, I 31
30.07 deg, I 30
59.78 deg, I 28
20.24 deg, I 27
31.77 deg, I 26
66.12 deg, I 23
55.54 deg, I 22
45.22 deg, I 16
52.31 deg, I 14

```
data_NaZn2TcN4
_chemical_formula_sum 'Na2 Zn4 Tc2 N8'
_symmetry_space_group_name_H-M 'P 1'
_symmetry_Int_Tables_number 1
_symmetry_space_group_name_Hall 'P 1'
_cell_length_a 6.996
_cell_length_b 5.633
_cell_length_c 5.436
_cell_angle_alpha 90.00
_cell_angle_beta 90.00
_cell_angle_gamma 90.00
loop_
_atom_site_label
_atom_site_fract_x
_atom_site_fract_y
_atom_site_fract_z
Na1 0.000 0.168 0.000
Na2 0.500 0.832 0.500
Zn1 0.245 0.327 0.511
Zn2 0.255 0.673 0.011
Zn3 0.745 0.673 0.011
Zn4 0.755 0.327 0.511
Tc1 0.000 0.810 0.514
Tc2 0.500 0.190 0.014
N1 0.000 0.133 0.447
N2 0.000 0.764 0.848
N3 0.208 0.666 0.382
N4 0.292 0.334 0.882
N5 0.500 0.236 0.348
N6 0.500 0.867 0.947
N7 0.708 0.334 0.882
N8 0.792 0.666 0.382
```

---

Entry 6:
Diffraction record for PrHf2Pa. The X-ray diffraction stick pattern is calculated, not measured: it uses a cell relaxed with GGA-PBE and a wavelength of 1.5418 Å.
Neutral-atom scattering factors, no anomalous dispersion.

Peak list (12 most intense, 10° ≤ 2θ ≤ 90°, by intensity)
32.23 deg, I 100
41.19 deg, I 91
30.70 deg, I 61
34.36 deg, I 59
65.84 deg, I 42
56.67 deg, I 41
38.04 deg, I 28
36.67 deg, I 25
67.75 deg, I 24
62.58 deg, I 18
31.91 deg, I 18
72.42 deg, I 18

```
data_PrHf2Pa
_chemical_formula_sum 'Pr1 Hf2 Pa1'
_symmetry_space_group_name_H-M 'P 1'
_symmetry_Int_Tables_number 1
_symmetry_space_group_name_Hall 'P 1'
_cell_length_a 11.798
_cell_length_b 11.798
_cell_length_c 11.798
_cell_angle_alpha 15.83
_cell_angle_beta 15.83
_cell_angle_gamma 15.83
loop_
_atom_site_label
_atom_site_fract_x
_atom_site_fract_y
_atom_site_fract_z
Pr1 0.000 0.000 0.000
Hf1 0.092 0.092 0.092
Hf2 0.908 0.908 0.908
Pa1 0.500 0.500 0.500
```